The following is a calculated X-ray diffraction stick pattern of Rb2ErBO4. It was derived from a crystal structure in Alexandria, relaxed with PBE, using copper Kα.
Kinematic intensities with the Lorentz-polarization factor, no thermal factor.

Peak list (10 most intense, 2θ from 15° to 90°, by intensity)
(0 2 6), 2θ = 27.74°, rel. 100
(1 1 1), 2θ = 19.55°, rel. 77
(1 1 5), 2θ = 27.28°, rel. 61
(0 0 4), 2θ = 15.35°, rel. 60
(1 3 5), 2θ = 34.95°, rel. 59
(1 3 1), 2θ = 29.17°, rel. 46
(2 2 0), 2θ = 38.90°, rel. 38
(0 4 0), 2θ = 30.50°, rel. 36
(2 4 6), 2θ = 53.55°, rel. 31
(0 2 2), 2θ = 16.96°, rel. 30

Structural model:
abc: 5.0405 11.7235 23.0841
angles: 90.00 90.00 90.00
Space group Fddd (No. 70, origin choice 2)
One atom of each set of equivalent atoms:
Rb  0.1250  0.1250  0.3041
Er  0.1250  0.1250  0.1250
B  0.1250  0.1250  0.6250
O  0.0462  0.2968  0.8369

---

The following is a calculated X-ray diffraction stick pattern of SrErB2O6. It was derived from a crystal structure in Alexandria, relaxed with PBE, using copper Kα.
Kinematic intensities with the Lorentz-polarization factor, no thermal factor.

Peak list (10 most intense, 2θ from 15° to 90°, by intensity)
(2 2 -1), 2θ = 29.32°, rel. 100
(0 2 1), 2θ = 22.59°, rel. 87
(0 0 2), 2θ = 27.68°, rel. 66
(2 0 0), 2θ = 23.26°, rel. 48
(2 2 1), 2θ = 35.70°, rel. 34
(2 4 0), 2θ = 43.47°, rel. 27
(2 2 -3), 2θ = 45.33°, rel. 27
(0 2 3), 2θ = 46.02°, rel. 25
(4 2 -1), 2θ = 48.83°, rel. 23
(2 0 2), 2θ = 41.88°, rel. 19

Structural model:
abc: 8.0471 9.9377 6.7815
angles: 90.00 108.08 90.00
Space group C2/c (No. 15)
One atom of each set of equivalent atoms:
Sr  0.0000  0.1295  0.2500
Er  0.0000  0.4209  0.7500
B  0.2425  0.3632  0.2504
O  0.0851  0.3833  0.0953
O  0.1879  0.2634  0.7152
O  0.1898  0.0302  0.6221

---

The following is a calculated X-ray diffraction stick pattern of ErZn2B2O6. It was derived from a crystal structure in Alexandria, relaxed with PBE, using copper Kα.
Kinematic intensities with the Lorentz-polarization factor, no thermal factor.

Peak list (10 most intense, 2θ from 15° to 90°, by intensity)
(0 1 1), 2θ = 24.15°, rel. 100
(1 0 2), 2θ = 32.78°, rel. 74
(1 1 0), 2θ = 35.99°, rel. 35
(2 0 1), 2θ = 43.82°, rel. 35
(1 1 3), 2θ = 53.56°, rel. 27
(1 2 1), 2θ = 57.95°, rel. 26
(3 -1 2), 2θ = 62.68°, rel. 19
(0 2 2), 2θ = 49.47°, rel. 19
(0 0 3), 2θ = 38.27°, rel. 17
(3 0 0), 2θ = 64.72°, rel. 17

Structural model:
abc: 4.9907 4.9907 7.0517
angles: 90.00 90.00 120.00
Space group P-3 (No. 147)
One atom of each set of equivalent atoms:
Er  0.0000  0.0000  0.0000
Zn  0.3333  0.6667  0.3064
B  0.3333  0.6667  0.7996
O  0.0589  0.6731  0.8042

---

The following is a calculated X-ray diffraction stick pattern of Er2B10Os. It was derived from a crystal structure in Alexandria, relaxed with PBE, using copper Kα.
Kinematic intensities with the Lorentz-polarization factor, no thermal factor.

Peak list (10 most intense, 2θ from 15° to 90°, by intensity)
(1 2 1), 2θ = 30.90°, rel. 100
(1 2 0), 2θ = 22.11°, rel. 74
(0 4 1), 2θ = 38.43°, rel. 73
(2 0 1), 2θ = 38.22°, rel. 70
(1 1 1), 2θ = 27.64°, rel. 50
(2 4 0), 2θ = 45.11°, rel. 45
(1 1 0), 2θ = 17.40°, rel. 39
(0 2 0), 2θ = 15.65°, rel. 29
(1 2 2), 2θ = 49.23°, rel. 28
(2 4 2), 2θ = 64.38°, rel. 26

Structural model:
abc: 5.7059 11.3270 4.1702
angles: 90.00 90.00 90.00
Space group Pbam (No. 55)
One atom of each set of equivalent atoms:
Er  0.2281  0.1284  0.0000
B  0.0587  0.3070  0.5000
B  0.1197  0.9587  0.5000
B  0.1327  0.8027  0.5000
B  0.2246  0.3806  0.1994
Os  0.0000  0.5000  0.5000